Structure and simulated X-ray diffraction stick pattern of SmPu2ReC4 (a DFT-relaxed cell (GGA-PBE, Alexandria); Cu Kα, 1.54184 Å).

Top 10 peaks for 5° ≤ 2θ ≤ 70°, by angle:
2θ (°)	d [Å]	Rel. int.
16.65	5.324	11
26.45	3.369	15
29.02	3.077	30
30.31	2.948	100
34.53	2.598	15
37.35	2.407	55
39.67	2.272	16
42.43	2.130	16
51.73	1.767	12
52.27	1.750	15

Structure:
abc: 6.159 6.159 12.309
angles: 90.00 90.00 146.98
Element x y z (fractional)
Sm: 0.104 0.896 0.750
Sm: 0.896 0.104 0.250
Pu: 0.369 0.631 0.538
Pu: 0.369 0.631 0.962
Pu: 0.631 0.369 0.038
Pu: 0.631 0.369 0.462
Re: 0.160 0.840 0.250
Re: 0.840 0.160 0.750
C: 0.000 0.000 0.000
C: 0.000 0.000 0.500
C: 0.260 0.740 0.127
C: 0.260 0.740 0.373
C: 0.429 0.571 0.750
C: 0.571 0.429 0.250
C: 0.740 0.260 0.627
C: 0.740 0.260 0.873

Structure and simulated X-ray diffraction stick pattern of NaTlIO6 (a DFT-relaxed cell (GGA-PBE, Alexandria); Cu Kα, 1.54184 Å).

Top 10 peaks for 5° ≤ 2θ ≤ 70°, by angle:
2θ (°)	d [Å]	Rel. int.
17.66	5.023	100
18.31	4.845	62
25.54	3.487	87
31.99	2.797	63
36.78	2.444	85
41.38	2.182	23
48.73	1.869	62
53.24	1.721	23
57.02	1.615	21
60.18	1.538	22

Structure:
abc: 5.595 5.595 10.045
angles: 90.00 90.00 120.00
Element x y z (fractional)
Na: 0.000 0.000 0.000
Na: 0.000 0.000 0.500
Tl: 0.333 0.667 0.250
Tl: 0.667 0.333 0.750
I: 0.333 0.667 0.750
I: 0.667 0.333 0.250
O: 0.050 0.394 0.640
O: 0.050 0.656 0.860
O: 0.344 0.394 0.860
O: 0.344 0.950 0.640
O: 0.394 0.050 0.140
O: 0.394 0.344 0.360
O: 0.606 0.656 0.640
O: 0.606 0.950 0.860
O: 0.656 0.050 0.360
O: 0.656 0.606 0.140
O: 0.950 0.344 0.140
O: 0.950 0.606 0.360

Structure and simulated X-ray diffraction stick pattern of YGa4NiRh2 (a DFT-relaxed cell (GGA-PBE, Alexandria); Cu Kα, 1.54184 Å).

Top 10 peaks for 5° ≤ 2θ ≤ 70°, by angle:
2θ (°)	d [Å]	Rel. int.
10.38	8.524	31
28.16	3.169	6
30.08	2.971	25
37.40	2.404	78
42.92	2.107	100
44.28	2.045	5
46.31	1.961	34
52.88	1.731	7
58.22	1.585	21
64.97	1.435	12

Structure:
abc: 8.864 8.864 8.864
angles: 27.50 27.50 27.50
Element x y z (fractional)
Y: 0.000 0.000 0.000
Ga: 0.133 0.133 0.133
Ga: 0.401 0.401 0.401
Ga: 0.599 0.599 0.599
Ga: 0.867 0.867 0.867
Ni: 0.500 0.500 0.500
Rh: 0.234 0.234 0.234
Rh: 0.766 0.766 0.766

Structure and simulated X-ray diffraction stick pattern of BaCe2USe8 (a DFT-relaxed cell (GGA-PBE, Alexandria); Cu Kα, 1.54184 Å).

Top 10 peaks for 5° ≤ 2θ ≤ 70°, by angle:
2θ (°)	d [Å]	Rel. int.
18.91	4.692	79
19.03	4.663	100
24.14	3.687	98
27.58	3.234	60
36.18	2.483	34
36.31	2.474	37
36.55	2.458	85
36.69	2.450	90
40.39	2.233	39
45.43	1.996	51

Structure:
abc: 6.537 6.695 8.932
angles: 90.04 90.15 90.36
Element x y z (fractional)
Ba: 0.000 0.000 0.000
Ce: 0.499 0.500 0.750
Ce: 0.501 0.500 0.250
U: 0.000 0.000 0.500
Se: 0.250 0.851 0.294
Se: 0.252 0.417 0.000
Se: 0.252 0.853 0.707
Se: 0.257 0.334 0.499
Se: 0.743 0.666 0.501
Se: 0.748 0.147 0.293
Se: 0.748 0.583 0.000
Se: 0.750 0.149 0.706

Structure and simulated X-ray diffraction stick pattern of Ce3Th3O11 (a DFT-relaxed cell (GGA-PBE, Alexandria); Cu Kα, 1.54184 Å).

Top 10 peaks for 5° ≤ 2θ ≤ 70°, by angle:
2θ (°)	d [Å]	Rel. int.
27.60	3.231	100
27.75	3.215	100
32.00	2.797	24
32.10	2.788	48
45.88	1.978	50
46.02	1.972	33
46.22	1.964	17
54.43	1.686	38
54.49	1.684	16
54.68	1.678	31

Structure:
abc: 6.865 3.928 9.678
angles: 90.00 90.11 90.00
Element x y z (fractional)
Ce: 0.000 0.000 0.000
Ce: 0.181 0.500 0.350
Ce: 0.653 0.000 0.345
Th: 0.336 0.000 0.680
Th: 0.508 0.500 0.016
Th: 0.837 0.500 0.673
O: 0.003 0.000 0.758
O: 0.146 0.500 0.112
O: 0.171 0.500 0.598
O: 0.320 0.000 0.422
O: 0.341 0.000 0.934
O: 0.499 0.500 0.261
O: 0.503 0.500 0.761
O: 0.666 0.000 0.589
O: 0.688 0.000 0.103
O: 0.830 0.500 0.920
O: 0.854 0.500 0.409

Structure and simulated X-ray diffraction stick pattern of ReTcIrRu (a DFT-relaxed cell (GGA-PBE, Alexandria); Cu Kα, 1.54184 Å).

Top 9 peaks for 5° ≤ 2θ ≤ 70°, by angle:
2θ (°)	d [Å]	Rel. int.
23.20	3.834	9
32.61	2.746	8
40.40	2.232	100
46.79	1.942	33
47.42	1.917	16
52.86	1.732	4
58.74	1.572	3
68.32	1.373	11
68.82	1.364	21

Structure:
abc: 4.716 4.716 4.716
angles: 131.38 131.38 71.21
Element x y z (fractional)
Re: 0.000 0.000 0.000
Tc: 0.750 0.250 0.500
Ir: 0.500 0.500 0.000
Ru: 0.250 0.750 0.500

Structure and simulated X-ray diffraction stick pattern of ErPu3Al8 (a DFT-relaxed cell (GGA-PBE, Alexandria); Cu Kα, 1.54184 Å).

Top 10 peaks for 5° ≤ 2θ ≤ 70°, by angle:
2θ (°)	d [Å]	Rel. int.
18.36	4.832	54
20.99	4.232	65
32.08	2.790	83
35.92	2.500	100
37.21	2.416	16
38.24	2.353	42
38.66	2.329	35
48.92	1.862	25
57.19	1.611	17
59.71	1.549	46

Structure:
abc: 5.580 5.580 8.765
angles: 90.00 90.00 120.00
Element x y z (fractional)
Er: 0.000 0.000 0.000
Pu: 0.000 0.000 0.362
Pu: 0.667 0.333 0.519
Pu: 0.667 0.333 0.832
Al: 0.161 0.322 0.680
Al: 0.161 0.839 0.680
Al: 0.333 0.667 0.427
Al: 0.333 0.667 0.925
Al: 0.506 0.012 0.177
Al: 0.506 0.494 0.177
Al: 0.678 0.839 0.680
Al: 0.988 0.494 0.177

Structure and simulated X-ray diffraction stick pattern of Na2Hf3PbS8 (a DFT-relaxed cell (GGA-PBE, Alexandria); Cu Kα, 1.54184 Å).

Top 10 peaks for 5° ≤ 2θ ≤ 70°, by angle:
2θ (°)	d [Å]	Rel. int.
12.43	7.119	100
15.83	5.597	48
21.44	4.144	63
24.86	3.582	38
26.62	3.349	71
27.46	3.248	96
31.98	2.799	49
40.34	2.236	58
43.68	2.072	58
47.95	1.897	51

Structure:
abc: 8.359 8.359 8.359
angles: 53.99 53.99 53.99
Element x y z (fractional)
Na: 0.000 0.000 0.000
Na: 0.363 0.363 0.363
Hf: 0.366 0.366 0.876
Hf: 0.366 0.876 0.366
Hf: 0.876 0.366 0.366
Pb: 0.746 0.746 0.746
S: 0.108 0.108 0.580
S: 0.108 0.580 0.108
S: 0.133 0.133 0.133
S: 0.169 0.614 0.614
S: 0.580 0.108 0.108
S: 0.598 0.598 0.598
S: 0.614 0.169 0.614
S: 0.614 0.614 0.169

Structure and simulated X-ray diffraction stick pattern of Zr3Si23 (a DFT-relaxed cell (GGA-PBE, Alexandria); Cu Kα, 1.54184 Å).

Top 10 peaks for 5° ≤ 2θ ≤ 70°, by angle:
2θ (°)	d [Å]	Rel. int.
12.48	7.091	28
19.80	4.485	22
28.14	3.171	20
30.89	2.895	85
32.18	2.781	82
33.43	2.680	100
35.82	2.507	24
53.26	1.720	62
54.93	1.671	20
56.57	1.627	41

Structure:
abc: 10.029 10.029 10.029
angles: 90.00 90.00 90.00
Element x y z (fractional)
Zr: 0.000 0.250 0.500
Zr: 0.000 0.750 0.500
Zr: 0.250 0.500 0.000
Zr: 0.500 0.000 0.250
Zr: 0.500 0.000 0.750
Zr: 0.750 0.500 0.000
Si: 0.000 0.312 0.116
Si: 0.000 0.312 0.884
Si: 0.000 0.500 0.250
Si: 0.000 0.500 0.750
Si: 0.000 0.688 0.116
Si: 0.000 0.688 0.884
Si: 0.116 0.000 0.312
Si: 0.116 0.000 0.688
Si: 0.184 0.184 0.184
Si: 0.184 0.184 0.816
Si: 0.184 0.816 0.184
Si: 0.184 0.816 0.816
Si: 0.188 0.500 0.384
Si: 0.188 0.500 0.616
Si: 0.250 0.000 0.500
Si: 0.312 0.116 0.000
Si: 0.312 0.884 0.000
Si: 0.316 0.316 0.316
Si: 0.316 0.316 0.684
Si: 0.316 0.684 0.316
Si: 0.316 0.684 0.684
Si: 0.384 0.188 0.500
Si: 0.384 0.812 0.500
Si: 0.500 0.250 0.000
Si: 0.500 0.384 0.188
Si: 0.500 0.384 0.812
Si: 0.500 0.616 0.188
Si: 0.500 0.616 0.812
Si: 0.500 0.750 0.000
Si: 0.616 0.188 0.500
Si: 0.616 0.812 0.500
Si: 0.684 0.316 0.316
Si: 0.684 0.316 0.684
Si: 0.684 0.684 0.316
Si: 0.684 0.684 0.684
Si: 0.688 0.116 0.000
Si: 0.688 0.884 0.000
Si: 0.750 0.000 0.500
Si: 0.812 0.500 0.384
Si: 0.812 0.500 0.616
Si: 0.816 0.184 0.184
Si: 0.816 0.184 0.816
Si: 0.816 0.816 0.184
Si: 0.816 0.816 0.816
Si: 0.884 0.000 0.312
Si: 0.884 0.000 0.688